[1]
Starting from DFT lattice parameters and positions (PBE), the XRD peak list of BaSm2Sc2O7 was calculated for CuKα.
Peak positions follow from Bragg's law for the DFT cell and can differ from measured ones.

Top 10 peaks for 2θ from 10° to 90°, by angle:
21.97 deg, I 27; 26.43 deg, I 16; 30.63 deg, I 59; 30.94 deg, I 100; 40.89 deg, I 24; 43.86 deg, I 36; 54.63 deg, I 49; 55.23 deg, I 15; 63.76 deg, I 11; 72.55 deg, I 15

Structural model:
```
data_BaSm2Sc2O7
_space_group_name_H-M_alt 'P 1'
_space_group_IT_number 1
_cell_length_a 5.838
_cell_length_b 5.838
_cell_length_c 20.236
_cell_angle_alpha 90.00
_cell_angle_beta 90.00
_cell_angle_gamma 90.00
loop_
_space_group_symop_operation_xyz
'x,y,z'
loop_
_atom_site_label
_atom_site_type_symbol
_atom_site_fract_x
_atom_site_fract_y
_atom_site_fract_z
_atom_site_occupancy
Ba1 Ba 0.238 0.238 0.000 1
Ba2 Ba 0.262 0.738 0.500 1
Ba3 Ba 0.738 0.262 0.500 1
Ba4 Ba 0.762 0.762 0.000 1
Sm1 Sm 0.219 0.219 0.185 1
Sm2 Sm 0.219 0.219 0.815 1
Sm3 Sm 0.281 0.719 0.315 1
Sm4 Sm 0.281 0.719 0.685 1
Sm5 Sm 0.719 0.281 0.315 1
Sm6 Sm 0.719 0.281 0.685 1
Sm7 Sm 0.781 0.781 0.185 1
Sm8 Sm 0.781 0.781 0.815 1
Sc1 Sc 0.240 0.240 0.397 1
Sc2 Sc 0.240 0.240 0.603 1
Sc3 Sc 0.260 0.740 0.103 1
Sc4 Sc 0.260 0.740 0.897 1
Sc5 Sc 0.740 0.260 0.103 1
Sc6 Sc 0.740 0.260 0.897 1
Sc7 Sc 0.760 0.760 0.397 1
Sc8 Sc 0.760 0.760 0.603 1
O1 O 0.000 0.000 0.095 1
O2 O 0.000 0.000 0.368 1
O3 O 0.000 0.000 0.632 1
O4 O 0.000 0.000 0.905 1
O5 O 0.000 0.500 0.116 1
O6 O 0.000 0.500 0.384 1
O7 O 0.000 0.500 0.616 1
O8 O 0.000 0.500 0.884 1
O9 O 0.181 0.819 0.212 1
O10 O 0.181 0.819 0.788 1
O11 O 0.213 0.213 0.500 1
O12 O 0.287 0.713 0.000 1
O13 O 0.319 0.319 0.288 1
O14 O 0.319 0.319 0.712 1
O15 O 0.500 0.000 0.116 1
O16 O 0.500 0.000 0.384 1
O17 O 0.500 0.000 0.616 1
O18 O 0.500 0.000 0.884 1
O19 O 0.500 0.500 0.132 1
O20 O 0.500 0.500 0.405 1
O21 O 0.500 0.500 0.595 1
O22 O 0.500 0.500 0.868 1
O23 O 0.681 0.681 0.288 1
O24 O 0.681 0.681 0.712 1
O25 O 0.713 0.287 0.000 1
O26 O 0.787 0.787 0.500 1
O27 O 0.819 0.181 0.212 1
O28 O 0.819 0.181 0.788 1
```

[2]
Starting from DFT lattice parameters and positions (PBE), the XRD peak list of CaTcO3 was calculated for CuKα.
Peak positions follow from Bragg's law for the DFT cell and can differ from measured ones.

Top 10 peaks for 2θ from 10° to 90°, by angle:
22.75 deg, I 77; 32.20 deg, I 92; 32.57 deg, I 100; 46.46 deg, I 64; 52.57 deg, I 20; 57.42 deg, I 27; 57.65 deg, I 41; 58.34 deg, I 18; 68.22 deg, I 17; 77.46 deg, I 16

Structural model:
```
data_CaTcO3
_space_group_name_H-M_alt 'P 1'
_space_group_IT_number 1
_cell_length_a 5.499
_cell_length_b 5.499
_cell_length_c 5.499
_cell_angle_alpha 60.72
_cell_angle_beta 60.72
_cell_angle_gamma 60.72
loop_
_space_group_symop_operation_xyz
'x,y,z'
loop_
_atom_site_label
_atom_site_type_symbol
_atom_site_fract_x
_atom_site_fract_y
_atom_site_fract_z
_atom_site_occupancy
Ca1 Ca 0.000 0.000 0.000 1
Ca2 Ca 0.500 0.500 0.500 1
Tc1 Tc 0.260 0.260 0.260 1
Tc2 Tc 0.760 0.760 0.760 1
O1 O 0.015 0.429 0.593 1
O2 O 0.093 0.929 0.515 1
O3 O 0.429 0.593 0.015 1
O4 O 0.515 0.093 0.929 1
O5 O 0.593 0.015 0.429 1
O6 O 0.929 0.515 0.093 1
```

[3]
Starting from DFT lattice parameters and positions (PBE), the XRD peak list of Rb2LiPuCl4O2 was calculated for CuKα.
Peak positions follow from Bragg's law for the DFT cell and can differ from measured ones.

Top 10 peaks for 2θ from 10° to 90°, by angle:
14.73 deg, I 67; 15.06 deg, I 66; 19.00 deg, I 75; 21.09 deg, I 100; 21.74 deg, I 91; 25.31 deg, I 59; 25.97 deg, I 51; 30.53 deg, I 86; 30.72 deg, I 89; 36.05 deg, I 57

Structural model:
```
data_Rb2LiPuCl4O2
_space_group_name_H-M_alt 'P 1'
_space_group_IT_number 1
_cell_length_a 6.124
_cell_length_b 6.981
_cell_length_c 7.151
_cell_angle_alpha 63.95
_cell_angle_beta 81.44
_cell_angle_gamma 80.11
loop_
_space_group_symop_operation_xyz
'x,y,z'
loop_
_atom_site_label
_atom_site_type_symbol
_atom_site_fract_x
_atom_site_fract_y
_atom_site_fract_z
_atom_site_occupancy
Rb1 Rb 0.000 0.000 0.000 1
Rb2 Rb 0.338 0.273 0.309 1
Li1 Li 0.755 0.433 0.423 1
Pu1 Pu 0.657 0.670 0.698 1
Cl1 Cl 0.470 0.767 0.332 1
Cl2 Cl 0.471 0.297 0.826 1
Cl3 Cl 0.860 0.052 0.522 1
Cl4 Cl 0.876 0.512 0.065 1
O1 O 0.420 0.796 0.804 1
O2 O 0.891 0.539 0.583 1
```

[4]
Starting from DFT lattice parameters and positions (PBE), the XRD peak list of K2DyNb5O15 was calculated for CuKα.
Peak positions follow from Bragg's law for the DFT cell and can differ from measured ones.

Top 10 peaks for 2θ from 10° to 90°, by angle:
13.89 deg, I 45; 25.18 deg, I 40; 27.45 deg, I 33; 28.87 deg, I 49; 30.06 deg, I 35; 31.37 deg, I 47; 31.69 deg, I 100; 44.96 deg, I 30; 45.90 deg, I 32; 56.05 deg, I 49

Structural model:
```
data_K2DyNb5O15
_space_group_name_H-M_alt 'P 1'
_space_group_IT_number 1
_cell_length_a 12.751
_cell_length_b 12.751
_cell_length_c 3.954
_cell_angle_alpha 90.00
_cell_angle_beta 90.00
_cell_angle_gamma 90.00
loop_
_space_group_symop_operation_xyz
'x,y,z'
loop_
_atom_site_label
_atom_site_type_symbol
_atom_site_fract_x
_atom_site_fract_y
_atom_site_fract_z
_atom_site_occupancy
K1 K 0.170 0.330 0.000 1
K2 K 0.330 0.830 0.000 1
K3 K 0.670 0.170 0.000 1
K4 K 0.830 0.670 0.000 1
Dy1 Dy 0.000 0.000 0.000 1
Dy2 Dy 0.500 0.500 0.000 1
Nb1 Nb 0.000 0.500 0.500 1
Nb2 Nb 0.077 0.788 0.500 1
Nb3 Nb 0.212 0.077 0.500 1
Nb4 Nb 0.288 0.577 0.500 1
Nb5 Nb 0.423 0.288 0.500 1
Nb6 Nb 0.500 0.000 0.500 1
Nb7 Nb 0.577 0.712 0.500 1
Nb8 Nb 0.712 0.423 0.500 1
Nb9 Nb 0.788 0.923 0.500 1
Nb10 Nb 0.923 0.212 0.500 1
O1 O 0.000 0.342 0.500 1
O2 O 0.000 0.500 0.000 1
O3 O 0.000 0.658 0.500 1
O4 O 0.058 0.131 0.500 1
O5 O 0.078 0.815 0.000 1
O6 O 0.131 0.942 0.500 1
O7 O 0.158 0.500 0.500 1
O8 O 0.185 0.078 0.000 1
O9 O 0.217 0.717 0.500 1
O10 O 0.283 0.217 0.500 1
O11 O 0.315 0.578 0.000 1
O12 O 0.342 0.000 0.500 1
O13 O 0.369 0.442 0.500 1
O14 O 0.422 0.315 0.000 1
O15 O 0.442 0.631 0.500 1
O16 O 0.500 0.000 0.000 1
O17 O 0.500 0.158 0.500 1
O18 O 0.500 0.842 0.500 1
O19 O 0.558 0.369 0.500 1
O20 O 0.578 0.685 0.000 1
O21 O 0.631 0.558 0.500 1
O22 O 0.658 0.000 0.500 1
O23 O 0.685 0.422 0.000 1
O24 O 0.717 0.783 0.500 1
O25 O 0.783 0.283 0.500 1
O26 O 0.815 0.922 0.000 1
O27 O 0.842 0.500 0.500 1
O28 O 0.869 0.058 0.500 1
O29 O 0.922 0.185 0.000 1
O30 O 0.942 0.869 0.500 1
```

[5]
Starting from DFT lattice parameters and positions (PBE), the XRD peak list of SiO2 was calculated for CuKα.
Peak positions follow from Bragg's law for the DFT cell and can differ from measured ones.

Top 10 peaks for 2θ from 10° to 90°, by angle:
10.11 deg, I 20; 14.32 deg, I 100; 20.30 deg, I 13; 22.73 deg, I 11; 25.96 deg, I 61; 32.36 deg, I 19; 33.18 deg, I 25; 35.54 deg, I 21; 49.41 deg, I 13; 59.79 deg, I 14

Structural model:
```
data_SiO2
_space_group_name_H-M_alt 'P 1'
_space_group_IT_number 1
_cell_length_a 12.373
_cell_length_b 12.373
_cell_length_c 4.375
_cell_angle_alpha 90.00
_cell_angle_beta 90.00
_cell_angle_gamma 90.00
loop_
_space_group_symop_operation_xyz
'x,y,z'
loop_
_atom_site_label
_atom_site_type_symbol
_atom_site_fract_x
_atom_site_fract_y
_atom_site_fract_z
_atom_site_occupancy
Si1 Si 0.022 0.145 0.240 1
Si2 Si 0.022 0.355 0.760 1
Si3 Si 0.145 0.022 0.760 1
Si4 Si 0.145 0.478 0.240 1
Si5 Si 0.355 0.022 0.240 1
Si6 Si 0.355 0.478 0.760 1
Si7 Si 0.478 0.145 0.760 1
Si8 Si 0.478 0.355 0.240 1
Si9 Si 0.522 0.645 0.760 1
Si10 Si 0.522 0.855 0.240 1
Si11 Si 0.645 0.522 0.240 1
Si12 Si 0.645 0.978 0.760 1
Si13 Si 0.855 0.522 0.760 1
Si14 Si 0.855 0.978 0.240 1
Si15 Si 0.978 0.645 0.240 1
Si16 Si 0.978 0.855 0.760 1
O1 O 0.002 0.250 0.000 1
O2 O 0.062 0.062 0.000 1
O3 O 0.062 0.438 0.000 1
O4 O 0.097 0.597 0.367 1
O5 O 0.097 0.903 0.633 1
O6 O 0.124 0.124 0.500 1
O7 O 0.124 0.376 0.500 1
O8 O 0.250 0.002 0.000 1
O9 O 0.250 0.498 0.000 1
O10 O 0.376 0.124 0.500 1
O11 O 0.376 0.376 0.500 1
O12 O 0.403 0.597 0.633 1
O13 O 0.403 0.903 0.367 1
O14 O 0.438 0.062 0.000 1
O15 O 0.438 0.438 0.000 1
O16 O 0.498 0.250 0.000 1
O17 O 0.502 0.750 0.000 1
O18 O 0.562 0.562 0.000 1
O19 O 0.562 0.938 0.000 1
O20 O 0.597 0.097 0.633 1
O21 O 0.597 0.403 0.367 1
O22 O 0.624 0.624 0.500 1
O23 O 0.624 0.876 0.500 1
O24 O 0.750 0.502 0.000 1
O25 O 0.750 0.998 0.000 1
O26 O 0.876 0.624 0.500 1
O27 O 0.876 0.876 0.500 1
O28 O 0.903 0.097 0.367 1
O29 O 0.903 0.403 0.633 1
O30 O 0.938 0.562 0.000 1
O31 O 0.938 0.938 0.000 1
O32 O 0.998 0.750 0.000 1
```

[6]
Starting from DFT lattice parameters and positions (PBE), the XRD peak list of EuMg2 was calculated for CuKα.
Peak positions follow from Bragg's law for the DFT cell and can differ from measured ones.

Top 10 peaks for 2θ from 10° to 90°, by angle:
16.39 deg, I 40; 17.01 deg, I 26; 18.48 deg, I 27; 23.71 deg, I 25; 28.59 deg, I 79; 30.58 deg, I 100; 33.46 deg, I 84; 34.26 deg, I 29; 51.90 deg, I 45; 55.68 deg, I 26

Structural model:
```
data_EuMg2
_space_group_name_H-M_alt 'P 1'
_space_group_IT_number 1
_cell_length_a 6.245
_cell_length_b 6.245
_cell_length_c 10.422
_cell_angle_alpha 90.00
_cell_angle_beta 90.00
_cell_angle_gamma 120.00
loop_
_space_group_symop_operation_xyz
'x,y,z'
loop_
_atom_site_label
_atom_site_type_symbol
_atom_site_fract_x
_atom_site_fract_y
_atom_site_fract_z
_atom_site_occupancy
Eu1 Eu 0.333 0.667 0.061 1
Eu2 Eu 0.333 0.667 0.439 1
Eu3 Eu 0.667 0.333 0.561 1
Eu4 Eu 0.667 0.333 0.939 1
Mg1 Mg 0.000 0.000 0.000 1
Mg2 Mg 0.000 0.000 0.500 1
Mg3 Mg 0.168 0.336 0.750 1
Mg4 Mg 0.168 0.832 0.750 1
Mg5 Mg 0.336 0.168 0.250 1
Mg6 Mg 0.664 0.832 0.750 1
Mg7 Mg 0.832 0.168 0.250 1
Mg8 Mg 0.832 0.664 0.250 1
```